(1)
This entry pairs a crystal structure of RbMnCuS2 with its computed XRD peak list. Radiation: a wavelength of 1.5418 Å. Structure: a GGA-PBE-relaxed structure.
Neutral-atom scattering factors, no anomalous dispersion.

Largest 6 diffraction maxima, in order of rising 2θ, 15° ≤ 2θ ≤ 90°:
2θ (°)	d [Å]	I/Imax	h k l
25.97	3.431	348	0 0 4
29.66	3.012	921	1 0 3
34.27	2.616	1000	1 1 2
45.31	2.001	458	2 0 0
51.36	1.779	564	1 1 6
55.09	1.667	288	2 1 3

Lattice parameters (Å, degrees): 4.0027 4.0027 13.7226 90.00 90.00 90.00
Space group I-4m2 (No. 119)
Asymmetric unit:
Rb (0.0000, 0.0000, 0.0000) x2
Mn (0.0000, 0.5000, 0.7500) x2
Cu (0.0000, 0.5000, 0.2500) x2
S (0.0000, 0.0000, 0.3500) x4

***

(2)
This entry pairs a crystal structure of MnCu2S2 with its computed XRD peak list. Radiation: a wavelength of 1.5418 Å. Structure: a GGA-PBE-relaxed structure.
Neutral-atom scattering factors, no anomalous dispersion.

Largest 6 diffraction maxima, in order of rising 2θ, 15° ≤ 2θ ≤ 90°:
2θ (°)	d [Å]	I/Imax	h k l
27.04	3.298	371	3 1 1
28.27	3.157	476	2 2 2
42.97	2.105	203	5 1 1
47.00	1.933	1000	4 4 0
55.75	1.649	184	6 2 2
87.36	1.116	278	8 4 4

Lattice parameters (Å, degrees): 10.9367 10.9367 10.9367 90.00 90.00 90.00
Space group F-43m (No. 216)
Asymmetric unit:
Mn (0.1172, 0.1172, 0.1172) x16
Cu (0.0000, 0.0000, 0.5000) x4
Cu (0.0111, 0.2500, 0.7500) x24
Cu (0.2500, 0.2500, 0.7500) x4
S (0.1204, 0.1204, 0.8796) x16
S (0.1250, 0.1250, 0.3750) x16

***

(3)
This entry pairs a crystal structure of MnCu2SiS4 with its computed XRD peak list. Radiation: a wavelength of 1.5418 Å. Structure: a GGA-PBE-relaxed structure.
Neutral-atom scattering factors, no anomalous dispersion.

Largest 6 diffraction maxima, in order of rising 2θ, 15° ≤ 2θ ≤ 90°:
2θ (°)	d [Å]	I/Imax	h k l
27.53	3.240	981	2 1 0
27.82	3.207	546	0 2 0
28.87	3.092	897	0 0 2
31.17	2.870	1000	2 1 1
49.04	1.858	707	2 3 0
52.63	1.739	794	2 1 3

Lattice parameters (Å, degrees): 7.5075 6.4133 6.1842 90.00 90.00 90.00
Space group Pmn2_1 (No. 31)
Asymmetric unit:
Mn (0.0000, 0.1548, 0.0000) x2
Cu (0.2483, 0.3225, 0.4902) x4
Si (0.0000, 0.8244, 0.5005) x2
S (0.0000, 0.1431, 0.6109) x2
S (0.0000, 0.8123, 0.1513) x2
S (0.2331, 0.6639, 0.6197) x4

***

(4)
This entry pairs a crystal structure of Ti3MnCu2S8 with its computed XRD peak list. Radiation: a wavelength of 1.5418 Å. Structure: a GGA-PBE-relaxed structure.
Neutral-atom scattering factors, no anomalous dispersion.

Largest 6 diffraction maxima, in order of rising 2θ, 15° ≤ 2θ ≤ 90°:
2θ (°)	d [Å]	I/Imax	h k l
25.39	3.508	414	1 1 0
29.30	3.048	489	0 1 5
29.66	3.012	1000	1 1 3
35.91	2.501	760	0 2 4
51.24	1.783	869	2 0 8
52.15	1.754	816	2 2 0

Lattice parameters (Å, degrees): 7.0159 7.0159 17.6166 90.00 90.00 120.00
Space group R-3m (No. 166, hexagonal axes)
Asymmetric unit:
Ti (0.0000, 0.5000, 0.0000) x9
Mn (0.0000, 0.0000, 0.5000) x3
Cu (0.0000, 0.0000, 0.1250) x6
S (0.0000, 0.0000, 0.2542) x6
S (0.0161, 0.5081, 0.2518) x18

***

(5)
This entry pairs a crystal structure of Mn2CuSb with its computed XRD peak list. Radiation: a wavelength of 1.5418 Å. Structure: a GGA-PBE-relaxed structure.
Neutral-atom scattering factors, no anomalous dispersion.

Largest 6 diffraction maxima, in order of rising 2θ, 15° ≤ 2θ ≤ 90°:
2θ (°)	d [Å]	I/Imax	h k l
24.76	3.596	119	1 1 1
40.99	2.202	1000	2 2 0
48.48	1.878	62	3 1 1
59.36	1.557	157	4 0 0
74.66	1.271	307	4 2 2
88.89	1.101	98	4 4 0

Lattice parameters (Å, degrees): 6.2277 6.2277 6.2277 90.00 90.00 90.00
Space group F-43m (No. 216)
Asymmetric unit:
Mn (0.0000, 0.0000, 0.0000) x4
Mn (0.2500, 0.2500, 0.2500) x4
Cu (0.2500, 0.2500, 0.7500) x4
Sb (0.0000, 0.0000, 0.5000) x4

***

(6)
This entry pairs a crystal structure of MnCuSe4 with its computed XRD peak list. Radiation: a wavelength of 1.5418 Å. Structure: a GGA-PBE-relaxed structure.
Neutral-atom scattering factors, no anomalous dispersion.

Largest 6 diffraction maxima, in order of rising 2θ, 15° ≤ 2θ ≤ 90°:
2θ (°)	d [Å]	I/Imax	h k l
28.56	3.125	726	0 0 2
32.02	2.795	1000	0 2 1
32.31	2.771	673	2 1 0
35.17	2.552	618	1 2 -1
35.32	2.541	968	2 1 -1
48.40	1.881	726	1 3 -1

Lattice parameters (Å, degrees): 6.1849 6.2427 6.2573 90.00 90.43 90.00
Space group P2_1/c (No. 14)
Asymmetric unit:
Mn (0.0000, 0.0000, 0.0000) x2
Cu (0.5000, 0.0000, 0.5000) x2
Se (0.1145, 0.1132, 0.6108) x4
Se (0.3873, 0.6102, 0.6124) x4

***

(7)
This entry pairs a crystal structure of MnCu2Se2 with its computed XRD peak list. Radiation: a wavelength of 1.5418 Å. Structure: a GGA-PBE-relaxed structure.
Neutral-atom scattering factors, no anomalous dispersion.

Largest 6 diffraction maxima, in order of rising 2θ, 15° ≤ 2θ ≤ 90°:
2θ (°)	d [Å]	I/Imax	h k l
25.87	3.444	190	3 1 1
27.04	3.298	470	2 2 2
44.88	2.020	1000	4 4 0
53.18	1.722	205	6 2 2
65.35	1.428	151	8 0 0
82.78	1.166	298	8 4 4

Lattice parameters (Å, degrees): 11.4240 11.4240 11.4240 90.00 90.00 90.00
Space group F-43m (No. 216)
Asymmetric unit:
Mn (0.1211, 0.1211, 0.1211) x16
Cu (0.0000, 0.0000, 0.5000) x4
Cu (0.0071, 0.2500, 0.7500) x24
Cu (0.2500, 0.2500, 0.7500) x4
Se (0.1195, 0.1195, 0.8805) x16
Se (0.1241, 0.1241, 0.3759) x16

***

(8)
This entry pairs a crystal structure of MnCu2SiSe4 with its computed XRD peak list. Radiation: a wavelength of 1.5418 Å. Structure: a GGA-PBE-relaxed structure.
Neutral-atom scattering factors, no anomalous dispersion.

Largest 6 diffraction maxima, in order of rising 2θ, 15° ≤ 2θ ≤ 90°:
2θ (°)	d [Å]	I/Imax	h k l
26.00	3.428	1000	2 1 0
26.28	3.392	498	0 2 0
27.16	3.283	824	0 0 2
29.39	3.039	833	2 1 1
46.20	1.965	779	2 3 0
49.40	1.845	860	2 1 3

Lattice parameters (Å, degrees): 7.9440 6.7833 6.5669 90.00 90.00 90.00
Space group Pmn2_1 (No. 31)
Asymmetric unit:
Mn (0.0000, 0.1512, 0.0000) x2
Cu (0.2438, 0.6759, 0.0051) x4
Si (0.0000, 0.8266, 0.4884) x2
Se (0.0000, 0.1525, 0.3855) x2
Se (0.0000, 0.8142, 0.8429) x2
Se (0.2378, 0.6621, 0.3718) x4